Theoretical X-ray powder pattern of Li3FeCo3O8 for Cu Kα, from a DFT-relaxed cell (GGA+U, the Materials Project).

Largest 6 diffraction maxima, in order of rising 2θ, 2θ = 10–90°:
2θ/deg  I_rel
18.08  100
35.69  39
43.12  67
56.70  15
62.18  18
63.06  18

Crystal structure
Cell lengths 5.973, 5.973, 5.973 Å; angles 59.16, 59.16, 59.16 degrees
Element x y z (fractional)
1 Li 0.000 0.500 0.500
2 Li 0.500 0.000 0.500
3 Li 0.500 0.500 0.000
4 Fe 0.500 0.500 0.500
5 Co 0.000 0.000 0.500
6 Co 0.000 0.500 0.000
7 Co 0.500 0.000 0.000
8 O 0.244 0.244 0.244
9 O 0.247 0.735 0.735
10 O 0.265 0.265 0.753
11 O 0.265 0.753 0.265
12 O 0.735 0.247 0.735
13 O 0.735 0.735 0.247
14 O 0.753 0.265 0.265
15 O 0.756 0.756 0.756

Theoretical X-ray powder pattern of Li2FeCo2O6 for Cu Kα, from a DFT-relaxed cell (GGA+U, the Materials Project).

Largest 6 diffraction maxima, in order of rising 2θ, 2θ = 10–90°:
2θ/deg  I_rel
17.82  100
36.29  17
43.37  8
43.48  8
43.55  8
47.07  8

Crystal structure
Cell lengths 4.999, 5.020, 10.101 Å; angles 80.35, 84.75, 60.24 degrees
Element x y z (fractional)
1 Li 0.000 0.000 0.000
2 Li 0.005 0.176 0.492
3 Li 0.308 0.544 0.494
4 Li 0.317 0.328 0.996
5 Fe 0.641 0.269 0.246
6 Fe 0.649 0.769 0.745
7 Co 0.307 0.942 0.245
8 Co 0.315 0.437 0.745
9 Co 0.966 0.608 0.246
10 Co 0.980 0.104 0.745
11 O 0.003 0.281 0.137
12 O 0.291 0.659 0.142
13 O 0.293 0.085 0.848
14 O 0.296 0.229 0.351
15 O 0.296 0.808 0.642
16 O 0.622 0.985 0.138
17 O 0.628 0.586 0.349
18 O 0.651 0.382 0.849
19 O 0.655 0.153 0.642
20 O 0.996 0.741 0.849
21 O 0.999 0.450 0.641
22 O 0.999 0.908 0.354

Theoretical X-ray powder pattern of Li2FeCo2O6 for Cu Kα, from a DFT-relaxed cell (GGA+U, the Materials Project).

Largest 6 diffraction maxima, in order of rising 2θ, 2θ = 10–90°:
2θ/deg  I_rel
17.51  100
36.84  21
39.30  17
44.99  24
50.59  12
58.49  13

Crystal structure
Cell lengths 5.021, 5.032, 10.131 Å; angles 89.92, 89.89, 61.53 degrees
Element x y z (fractional)
1 Li 0.000 0.000 0.000
2 Li 0.206 0.792 0.502
3 Li 0.501 0.501 0.001
4 Li 0.707 0.293 0.499
5 Fe 0.351 0.147 0.751
6 Fe 0.852 0.645 0.250
7 Co 0.011 0.805 0.750
8 Co 0.183 0.976 0.251
9 Co 0.511 0.304 0.251
10 Co 0.684 0.475 0.750
11 O 0.001 0.483 0.847
12 O 0.174 0.680 0.141
13 O 0.192 0.293 0.347
14 O 0.345 0.794 0.850
15 O 0.387 0.465 0.641
16 O 0.500 0.639 0.351
17 O 0.500 0.985 0.154
18 O 0.675 0.179 0.860
19 O 0.694 0.793 0.655
20 O 0.847 0.293 0.151
21 O 0.886 0.966 0.361
22 O 0.999 0.141 0.650

Theoretical X-ray powder pattern of Li5Fe2Co3O10 for Cu Kα, from a DFT-relaxed cell (GGA+U, the Materials Project).

Largest 6 diffraction maxima, in order of rising 2θ, 2θ = 10–90°:
2θ/deg  I_rel
18.65  100
36.66  26
38.29  14
44.28  24
44.41  47
64.88  19

Crystal structure
Cell lengths 5.046, 2.874, 23.547 Å; angles 90.00, 94.41, 90.00 degrees
Element x y z (fractional)
1 Li 0.000 0.000 0.000
2 Li 0.000 0.500 0.499
3 Li 0.200 0.500 0.101
4 Li 0.202 0.000 0.599
5 Li 0.398 0.000 0.201
6 Li 0.401 0.500 0.699
7 Li 0.599 0.500 0.301
8 Li 0.601 0.000 0.799
9 Li 0.800 0.000 0.400
10 Li 0.801 0.500 0.899
11 Fe 0.294 0.000 0.896
12 Fe 0.500 0.500 0.000
13 Fe 0.706 0.000 0.104
14 Fe 0.899 0.000 0.698
15 Co 0.096 0.500 0.797
16 Co 0.101 0.000 0.302
17 Co 0.301 0.500 0.400
18 Co 0.500 0.000 0.499
19 Co 0.698 0.500 0.598
20 Co 0.905 0.500 0.204
21 O 0.021 0.500 0.649
22 O 0.037 0.000 0.157
23 O 0.161 0.500 0.948
24 O 0.181 0.000 0.447
25 O 0.221 0.000 0.750
26 O 0.221 0.500 0.255
27 O 0.364 0.000 0.051
28 O 0.380 0.500 0.547
29 O 0.420 0.000 0.353
30 O 0.428 0.500 0.846
31 O 0.572 0.500 0.154
32 O 0.575 0.000 0.645
33 O 0.620 0.500 0.452
34 O 0.636 0.000 0.949
35 O 0.778 0.500 0.746
36 O 0.783 0.000 0.250
37 O 0.819 0.000 0.551
38 O 0.840 0.500 0.053
39 O 0.965 0.000 0.843
40 O 0.980 0.500 0.349

Theoretical X-ray powder pattern of Li4Fe3CoO8 for Cu Kα, from a DFT-relaxed cell (GGA+U, the Materials Project).

Largest 6 diffraction maxima, in order of rising 2θ, 2θ = 10–90°:
2θ/deg  I_rel
18.17  100
35.31  15
35.34  15
42.78  54
43.40  25
62.78  14

Crystal structure
Cell lengths 5.968, 5.990, 8.339 Å; angles 89.55, 89.98, 89.91 degrees
Element x y z (fractional)
1 Li 0.000 0.000 0.000
2 Li 0.000 0.500 0.499
3 Li 0.248 0.252 0.750
4 Li 0.251 0.750 0.248
5 Li 0.500 0.000 0.000
6 Li 0.500 0.500 0.500
7 Li 0.750 0.249 0.751
8 Li 0.751 0.748 0.249
9 Fe 0.000 0.999 0.499
10 Fe 0.250 0.250 0.249
11 Fe 0.250 0.750 0.752
12 Fe 0.501 0.499 0.000
13 Fe 0.751 0.250 0.249
14 Fe 0.751 0.749 0.751
15 Co 0.000 0.500 0.000
16 Co 0.500 0.001 0.500
17 O 0.000 0.984 0.745
18 O 0.001 0.014 0.254
19 O 0.001 0.511 0.768
20 O 0.246 0.238 0.493
21 O 0.246 0.762 0.508
22 O 0.252 0.736 0.993
23 O 0.253 0.263 0.006
24 O 0.499 0.484 0.244
25 O 0.500 0.012 0.263
26 O 0.500 0.987 0.735
27 O 0.501 0.516 0.755
28 O 0.747 0.263 0.006
29 O 0.749 0.735 0.993
30 O 0.754 0.239 0.493
31 O 0.754 0.762 0.507
32 O 0.999 0.487 0.232

Theoretical X-ray powder pattern of Li10FeCo9O20 for Cu Kα, from a DFT-relaxed cell (GGA+U, the Materials Project).

Largest 6 diffraction maxima, in order of rising 2θ, 2θ = 10–90°:
2θ/deg  I_rel
18.29  100
36.06  28
36.21  14
43.53  25
43.69  50
62.98  21

Crystal structure
Cell lengths 5.051, 7.697, 9.847 Å; angles 80.33, 85.19, 71.19 degrees
Element x y z (fractional)
1 Li 0.053 0.149 0.249
2 Li 0.149 0.450 0.751
3 Li 0.245 0.751 0.249
4 Li 0.342 0.050 0.752
5 Li 0.444 0.352 0.249
6 Li 0.556 0.648 0.751
7 Li 0.658 0.950 0.248
8 Li 0.755 0.249 0.751
9 Li 0.851 0.550 0.249
10 Li 0.947 0.851 0.751
11 Fe 0.500 0.500 0.500
12 Co 0.000 0.000 0.000
13 Co 0.100 0.300 0.499
14 Co 0.196 0.603 0.000
15 Co 0.302 0.900 0.500
16 Co 0.401 0.200 0.999
17 Co 0.599 0.800 0.001
18 Co 0.698 0.100 0.500
19 Co 0.804 0.397 0.000
20 Co 0.900 0.700 0.501
21 O 0.029 0.075 0.616
22 O 0.073 0.214 0.888
23 O 0.117 0.373 0.112
24 O 0.163 0.524 0.380
25 O 0.229 0.673 0.614
26 O 0.261 0.830 0.888
27 O 0.316 0.979 0.111
28 O 0.376 0.122 0.382
29 O 0.424 0.280 0.613
30 O 0.491 0.418 0.889
31 O 0.509 0.582 0.111
32 O 0.576 0.720 0.387
33 O 0.624 0.878 0.618
34 O 0.684 0.021 0.889
35 O 0.739 0.170 0.112
36 O 0.771 0.327 0.386
37 O 0.837 0.476 0.620
38 O 0.883 0.627 0.888
39 O 0.927 0.786 0.112
40 O 0.971 0.925 0.384